Record 1
For Ca2Ir, DFT lattice parameters and positions (PBE) gives the simulated powder diffraction line list in this record (Cu Kα).

Peak list (10 most intense, 2θ = 10–90°, in order of rising 2θ)
| 2θ/deg | I (rel.) | index |
| --- | --- | --- |
| 22.37 | 100 | 1 1 1 |
| 25.89 | 15 | 2 0 0 |
| 36.94 | 88 | 2 2 0 |
| 43.61 | 53 | 3 1 1 |
| 53.24 | 15 | 4 0 0 |
| 58.45 | 23 | 3 3 1 |
| 66.56 | 30 | 4 2 2 |
| 71.18 | 17 | 5 1 1 |
| 78.63 | 9 | 4 4 0 |
| 83.00 | 17 | 5 3 1 |

Structural model:
abc: 6.8827 6.8827 6.8827
angles: 90.00 90.00 90.00
Space group Fm-3m (No. 225)
Inequivalent atoms, fractional coordinates:
Ca 0.2500 0.2500 0.2500 x8
Ir 0.0000 0.0000 0.0000 x4


Record 2
For Pr6CdIn2, DFT lattice parameters and positions (PBE) gives the simulated powder diffraction line list in this record (Cu Kα).

Peak list (10 most intense, 2θ = 10–90°, in order of rising 2θ)
| 2θ/deg | I (rel.) | index |
| --- | --- | --- |
| 32.26 | 100 | 3 0 0 |
| 32.64 | 81 | 1 1 1 |
| 42.34 | 17 | 3 0 1 |
| 46.55 | 30 | 2 2 1 |
| 57.52 | 19 | 3 3 0 |
| 57.77 | 31 | 4 1 1 |
| 65.18 | 26 | 3 0 2 |
| 67.51 | 12 | 6 0 0 |
| 77.02 | 13 | 5 2 1 |
| 83.62 | 13 | 3 3 2 |

Structural model:
abc: 9.6129 9.6129 3.3416
angles: 90.00 90.00 120.00
Space group P6/mmm (No. 191)
Inequivalent atoms, fractional coordinates:
Pr 0.0000 0.3346 0.0000 x6
Cd 0.0000 0.0000 0.5000 x1
In 0.3333 0.6667 0.5000 x2


Record 3
For CaTb6Pr8, DFT lattice parameters and positions (PBE) gives the simulated powder diffraction line list in this record (Cu Kα).

Peak list (10 most intense, 2θ = 10–90°, in order of rising 2θ)
| 2θ/deg | I (rel.) | index |
| --- | --- | --- |
| 29.26 | 100 | 0 0 6 |
| 31.37 | 6 | 3 0 0 |
| 33.92 | 51 | 2 1 4 |
| 34.49 | 7 | 2 -1 6 |
| 39.35 | 5 | 2 2 3 |
| 48.66 | 15 | 3 -2 8 |
| 48.79 | 14 | 1 4 0 |
| 57.76 | 6 | 2 1 10 |
| 57.89 | 21 | 1 4 6 |
| 60.74 | 7 | 6 -4 4 |

Structural model:
abc: 9.8776 9.8776 18.3546
angles: 90.00 90.00 120.00
Space group R-3 (No. 148, hexagonal axes)
Inequivalent atoms, fractional coordinates:
Ca 0.0000 0.0000 0.0000 x3
Tb 0.0252 0.2342 0.4087 x18
Pr 0.0000 0.0000 0.2382 x6
Pr 0.0454 0.2833 0.9018 x18


Record 4
For NbAlRhICl, DFT lattice parameters and positions (PBE) gives the simulated powder diffraction line list in this record (Cu Kα).

Peak list (10 most intense, 2θ = 10–90°, in order of rising 2θ)
| 2θ/deg | I (rel.) | index |
| --- | --- | --- |
| 26.66 | 15 | 0 0 3 |
| 32.93 | 95 | 1 0 2 |
| 38.71 | 100 | 1 0 3 |
| 39.37 | 72 | 1 1 0 |
| 40.42 | 22 | 1 1 1 |
| 45.76 | 26 | 1 0 4 |
| 56.89 | 24 | 2 0 0 |
| 67.32 | 22 | 2 1 2 |
| 69.64 | 22 | 1 1 6 |
| 70.94 | 33 | 2 1 3 |

Structural model:
abc: 3.2369 3.2369 10.0326
angles: 90.00 90.00 90.00
Space group P4mm (No. 99)
Inequivalent atoms, fractional coordinates:
Nb 0.0000 0.0000 0.0000 x1
Al 0.0000 0.0000 0.3061 x1
Rh 0.5000 0.5000 0.1761 x1
I 0.5000 0.5000 0.8261 x1
Cl 0.0000 0.0000 0.5185 x1


Record 5
For Cs, DFT lattice parameters and positions (PBE) gives the simulated powder diffraction line list in this record (Cu Kα).

Peak list (10 most intense, 2θ = 10–90°, in order of rising 2θ)
| 2θ/deg | I (rel.) | index |
| --- | --- | --- |
| 20.05 | 100 | 2 2 1 |
| 21.15 | 60 | 3 1 0 |
| 22.19 | 27 | 3 1 1 |
| 25.08 | 10 | 3 2 1 |
| 34.42 | 39 | 4 3 1 |
| 36.41 | 33 | 5 2 0 |
| 40.75 | 13 | 4 4 2 |
| 52.93 | 9 | 5 5 3 |
| 53.89 | 10 | 6 5 0 |
| 54.37 | 9 | 7 3 2 |

Structural model:
abc: 13.2868 13.2868 13.2868
angles: 90.00 90.00 90.00
Space group P4_132 (No. 213)
Inequivalent atoms, fractional coordinates:
Cs 0.0466 0.1250 0.7966 x12
Cs 0.0623 0.9377 0.4377 x8


Record 6
For BaCd12Ga4, DFT lattice parameters and positions (PBE) gives the simulated powder diffraction line list in this record (Cu Kα).

Peak list (10 most intense, 2θ = 10–90°, in order of rising 2θ)
| 2θ/deg | I (rel.) | index |
| --- | --- | --- |
| 29.11 | 100 | 3 0 1 |
| 34.60 | 39 | 3 1 2 |
| 41.63 | 17 | 4 0 2 |
| 45.82 | 23 | 4 2 2 |
| 47.81 | 34 | 4 3 1 |
| 56.95 | 9 | 6 0 0 |
| 65.23 | 16 | 6 1 3 |
| 74.49 | 10 | 7 3 0 |
| 84.80 | 10 | 6 6 0 |
| 86.25 | 11 | 7 4 3 |

Structural model:
abc: 9.7010 9.7010 9.7010
angles: 90.00 90.00 90.00
Space group Im-3 (No. 204)
Inequivalent atoms, fractional coordinates:
Ba 0.0000 0.0000 0.0000 x2
Cd 0.0000 0.3503 0.1587 x24
Ga 0.2500 0.2500 0.2500 x8


Record 7
For ScRe2Sb, DFT lattice parameters and positions (PBE) gives the simulated powder diffraction line list in this record (Cu Kα).

Peak list (10 most intense, 2θ = 10–90°, in order of rising 2θ)
| 2θ/deg | I (rel.) | index |
| --- | --- | --- |
| 22.10 | 24 | 0 1 1 |
| 38.22 | 25 | 0 0 4 |
| 38.96 | 100 | 1 1 2 |
| 39.58 | 9 | 1 0 3 |
| 40.56 | 23 | 0 2 0 |
| 55.59 | 9 | 2 0 0 |
| 56.95 | 16 | 0 2 4 |
| 69.57 | 15 | 1 1 6 |
| 72.72 | 16 | 1 3 2 |
| 83.66 | 10 | 2 2 4 |

Structural model:
abc: 3.3062 4.4485 9.4204
angles: 90.00 90.00 90.00
Space group Imm2 (No. 44)
Inequivalent atoms, fractional coordinates:
Sc 0.0000 0.0000 0.0000 x2
Re 0.0000 0.0000 0.4908 x2
Re 0.0000 0.5000 0.7587 x2
Sb 0.0000 0.5000 0.2303 x2


Record 8
For LaTbPm2Ho2, DFT lattice parameters and positions (PBE) gives the simulated powder diffraction line list in this record (Cu Kα).

Peak list (10 most intense, 2θ = 10–90°, in order of rising 2θ)
| 2θ/deg | I (rel.) | index |
| --- | --- | --- |
| 27.72 | 44 | 2 2 0 |
| 30.07 | 100 | 0 3 1 |
| 32.78 | 37 | 0 6 0 |
| 33.68 | 47 | 2 4 0 |
| 36.52 | 59 | 2 1 1 |
| 45.77 | 15 | 2 5 1 |
| 53.75 | 30 | 2 7 1 |
| 61.50 | 26 | 4 3 1 |
| 62.55 | 22 | 0 6 2 |
| 63.08 | 27 | 4 6 0 |

Structural model:
abc: 6.9985 16.3914 3.5408
angles: 90.00 90.00 90.00
Space group Pnnm (No. 58)
Inequivalent atoms, fractional coordinates:
La 0.0000 0.0000 0.0000 x2
Tb 0.0000 0.5000 0.5000 x2
Pm 0.2472 0.3397 0.0000 x4
Ho 0.2496 0.1547 0.5000 x4


Record 9
For In3IBr2, DFT lattice parameters and positions (PBE) gives the simulated powder diffraction line list in this record (Cu Kα).

Peak list (10 most intense, 2θ = 10–90°, in order of rising 2θ)
| 2θ/deg | I (rel.) | index |
| --- | --- | --- |
| 25.23 | 100 | 2 0 0 |
| 26.74 | 43 | 0 6 0 |
| 35.98 | 39 | 2 0 2 |
| 37.09 | 71 | 2 6 0 |
| 45.38 | 40 | 2 6 2 |
| 51.79 | 13 | 4 0 0 |
| 58.45 | 18 | 4 0 2 |
| 59.23 | 18 | 4 6 0 |
| 61.52 | 15 | 2 12 0 |
| 65.40 | 26 | 4 6 2 |

Structural model:
abc: 7.0609 20.0044 7.0609
angles: 90.00 90.00 90.00
Space group Fmm2 (No. 42)
Inequivalent atoms, fractional coordinates:
In 0.0000 0.0000 0.0000 x4
In 0.0000 0.1724 0.5009 x8
I 0.0000 0.0000 0.5000 x4
Br 0.0000 0.1661 0.0005 x8


Record 10
For Ce4C2I5, DFT lattice parameters and positions (PBE) gives the simulated powder diffraction line list in this record (Cu Kα).

Peak list (10 most intense, 2θ = 10–90°, in order of rising 2θ)
| 2θ/deg | I (rel.) | index |
| --- | --- | --- |
| 25.73 | 26 | 1 1 2 |
| 26.38 | 71 | 0 0 6 |
| 29.99 | 46 | 1 1 4 |
| 30.33 | 100 | 1 2 1 |
| 32.86 | 21 | 1 2 3 |
| 33.42 | 54 | 0 3 3 |
| 43.59 | 58 | 1 2 7 |
| 44.64 | 22 | 2 0 0 |
| 52.59 | 21 | 2 0 6 |
| 56.89 | 24 | 2 3 3 |

Structural model:
abc: 4.0599 8.7647 20.2748
angles: 90.00 90.00 90.00
Space group Immm (No. 71)
Inequivalent atoms, fractional coordinates:
Ce 0.0000 0.0000 0.1462 x4
Ce 0.0000 0.3143 0.5000 x4
C 0.0000 0.0000 0.0346 x4
I 0.0000 0.2242 0.3421 x8
I 0.0000 0.5000 0.0000 x2


> What is the formula in the second record?

Pr6CdIn2